(1)
Starting from a structure optimized by DFT (GGA-PBE), the powder X-ray diffraction pattern of NpAu2O6 was simulated for CuKα.
No peak broadening, texture or thermal motion is included.

Atomic structure:
Cell lengths 7.1209, 7.1209, 6.4774 Å; angles 98.67, 98.67, 97.91 degrees
Fractional coordinates of all 18 atoms:
Np 0.0942 0.9058 0.7500
Np 0.9058 0.0942 0.2500
Au 0.3543 0.3616 0.7075
Au 0.3616 0.3543 0.2075
Au 0.6384 0.6457 0.7925
Au 0.6457 0.6384 0.2925
O 0.0835 0.1545 0.6438
O 0.1064 0.6808 0.8501
O 0.1545 0.0835 0.1438
O 0.2512 0.4596 0.4530
O 0.3192 0.8936 0.6499
O 0.4596 0.2512 0.9530
O 0.5404 0.7488 0.0470
O 0.6808 0.1064 0.3501
O 0.7488 0.5404 0.5470
O 0.8455 0.9165 0.8562
O 0.8936 0.3192 0.1499
O 0.9165 0.8455 0.3562

Peak list (10 most intense, 2θ from 5° to 70°, in order of rising 2θ)
| d_spacing | intensity |
| --- | --- |
| 5.370 | 100 |
| 3.332 | 22 |
| 3.152 | 37 |
| 2.920 | 65 |
| 2.718 | 28 |
| 2.392 | 21 |
| 2.092 | 22 |
| 1.939 | 21 |
| 1.786 | 19 |
| 1.737 | 22 |

(2)
Starting from a structure optimized by DFT (GGA-PBE), the powder X-ray diffraction pattern of La9B3C6Br5 was simulated for CuKα.
No peak broadening, texture or thermal motion is included.

Atomic structure:
Cell lengths 3.8844, 33.3182, 7.9854 Å; angles 90.00, 90.00, 90.00 degrees
Fractional coordinates of all 46 atoms:
La 0.2500 0.0093 0.1946
La 0.2500 0.0953 0.9129
La 0.2500 0.1340 0.3448
La 0.2500 0.3660 0.3448
La 0.2500 0.4047 0.9129
La 0.2500 0.4907 0.1946
La 0.2500 0.6948 0.9558
La 0.2500 0.7500 0.5576
La 0.2500 0.8052 0.9558
La 0.7500 0.1948 0.0442
La 0.7500 0.2500 0.4424
La 0.7500 0.3052 0.0442
La 0.7500 0.5093 0.8054
La 0.7500 0.5953 0.0871
La 0.7500 0.6340 0.6552
La 0.7500 0.8660 0.6552
La 0.7500 0.9047 0.0871
La 0.7500 0.9907 0.8054
B 0.2500 0.2500 0.2180
B 0.2500 0.5801 0.8668
B 0.2500 0.9199 0.8668
B 0.7500 0.0801 0.1332
B 0.7500 0.4199 0.1332
B 0.7500 0.7500 0.7820
C 0.2500 0.2067 0.2648
C 0.2500 0.2933 0.2648
C 0.2500 0.5433 0.9729
C 0.2500 0.6247 0.8688
C 0.2500 0.8753 0.8688
C 0.2500 0.9567 0.9729
C 0.7500 0.0433 0.0271
C 0.7500 0.1247 0.1312
C 0.7500 0.3753 0.1312
C 0.7500 0.4567 0.0271
C 0.7500 0.7067 0.7352
C 0.7500 0.7933 0.7352
Br 0.2500 0.0479 0.5746
Br 0.2500 0.2500 0.7776
Br 0.2500 0.4521 0.5746
Br 0.2500 0.6511 0.3281
Br 0.2500 0.8489 0.3281
Br 0.7500 0.1511 0.6719
Br 0.7500 0.3489 0.6719
Br 0.7500 0.5479 0.4254
Br 0.7500 0.7500 0.2224
Br 0.7500 0.9521 0.4254

Peak list (10 most intense, 2θ from 5° to 70°, in order of rising 2θ)
| d_spacing | intensity |
| --- | --- |
| 3.667 | 78 |
| 3.075 | 100 |
| 3.059 | 61 |
| 2.957 | 93 |
| 2.816 | 54 |
| 2.641 | 98 |
| 2.066 | 40 |
| 1.942 | 54 |
| 1.641 | 51 |
| 1.567 | 56 |

(3)
Starting from a structure optimized by DFT (GGA-PBE), the powder X-ray diffraction pattern of Ac2Er3Pd2 was simulated for CuKα.
No peak broadening, texture or thermal motion is included.

Atomic structure:
Cell lengths 6.7023, 6.7023, 9.3172 Å; angles 116.52, 116.52, 33.68 degrees
Fractional coordinates of all 7 atoms:
Ac 0.1534 0.1534 0.3043
Ac 0.8466 0.8466 0.6957
Er 0.3803 0.3803 0.0624
Er 0.5000 0.5000 0.5000
Er 0.6197 0.6197 0.9376
Pd 0.1583 0.1583 0.7411
Pd 0.8417 0.8417 0.2589

Peak list (10 most intense, 2θ from 5° to 70°, in order of rising 2θ)
| d_spacing | intensity |
| --- | --- |
| 3.180 | 65 |
| 3.107 | 70 |
| 2.974 | 100 |
| 2.875 | 87 |
| 2.775 | 63 |
| 2.719 | 67 |
| 2.710 | 57 |
| 2.557 | 49 |
| 1.942 | 41 |
| 1.653 | 42 |

(4)
Starting from a structure optimized by DFT (GGA-PBE), the powder X-ray diffraction pattern of Li8Ca3Pr was simulated for CuKα.
No peak broadening, texture or thermal motion is included.

Atomic structure:
Cell lengths 6.1523, 6.1523, 9.8391 Å; angles 90.00, 90.00, 120.00 degrees
Fractional coordinates of all 12 atoms:
Li 0.0000 0.0000 0.0000
Li 0.0000 0.0000 0.4955
Li 0.1680 0.3360 0.2477
Li 0.1680 0.8320 0.2477
Li 0.3341 0.1670 0.7519
Li 0.6640 0.8320 0.2477
Li 0.8330 0.1670 0.7519
Li 0.8330 0.6659 0.7519
Ca 0.3333 0.6667 0.5617
Ca 0.3333 0.6667 0.9391
Ca 0.6667 0.3333 0.4351
Pr 0.6667 0.3333 0.0608

Peak list (10 most intense, 2θ from 5° to 70°, in order of rising 2θ)
| d_spacing | intensity |
| --- | --- |
| 9.839 | 53 |
| 5.328 | 97 |
| 4.920 | 43 |
| 4.685 | 100 |
| 3.614 | 58 |
| 3.076 | 86 |
| 2.793 | 97 |
| 2.608 | 74 |
| 2.571 | 32 |
| 1.716 | 43 |

(5)
Starting from a structure optimized by DFT (GGA-PBE), the powder X-ray diffraction pattern of Tl6HgBi4 was simulated for CuKα.
No peak broadening, texture or thermal motion is included.

Atomic structure:
Cell lengths 8.4658, 8.4658, 8.4658 Å; angles 121.98, 121.98, 86.60 degrees
Fractional coordinates of all 11 atoms:
Tl 0.0000 0.5000 0.5000
Tl 0.1060 0.1060 0.5085
Tl 0.4025 0.8940 0.0000
Tl 0.5000 0.0000 0.5000
Tl 0.5975 0.5975 0.4915
Tl 0.8940 0.4025 0.0000
Hg 0.5000 0.5000 0.0000
Bi 0.0324 0.7517 0.0000
Bi 0.2483 0.2483 0.2807
Bi 0.7517 0.0324 0.0000
Bi 0.9676 0.9676 0.7193

Peak list (10 most intense, 2θ from 5° to 70°, in order of rising 2θ)
| d_spacing | intensity |
| --- | --- |
| 3.519 | 58 |
| 3.416 | 67 |
| 2.903 | 71 |
| 2.738 | 43 |
| 2.721 | 39 |
| 2.626 | 40 |
| 2.464 | 89 |
| 2.393 | 100 |
| 1.558 | 43 |
| 1.452 | 45 |

(6)
Starting from a structure optimized by DFT (GGA-PBE), the powder X-ray diffraction pattern of SrLi4Pb2 was simulated for CuKα.
No peak broadening, texture or thermal motion is included.

Atomic structure:
Cell lengths 8.4182, 8.4182, 4.8411 Å; angles 90.00, 90.00, 90.00 degrees
Fractional coordinates of all 14 atoms:
Sr 0.0000 0.0000 0.0000
Sr 0.5000 0.5000 0.5000
Li 0.1035 0.3551 0.5000
Li 0.1449 0.6035 0.0000
Li 0.3551 0.1035 0.5000
Li 0.3965 0.8551 0.0000
Li 0.6035 0.1449 0.0000
Li 0.6449 0.8965 0.5000
Li 0.8551 0.3965 0.0000
Li 0.8965 0.6449 0.5000
Pb 0.2137 0.7863 0.5000
Pb 0.2863 0.2863 0.0000
Pb 0.7137 0.7137 0.0000
Pb 0.7863 0.2137 0.5000

Peak list (10 most intense, 2θ from 5° to 70°, in order of rising 2θ)
| d_spacing | intensity |
| --- | --- |
| 4.209 | 29 |
| 3.757 | 100 |
| 2.974 | 48 |
| 2.428 | 22 |
| 2.421 | 12 |
| 2.333 | 37 |
| 2.104 | 12 |
| 1.878 | 15 |
| 1.590 | 16 |
| 1.488 | 16 |

(7)
Starting from a structure optimized by DFT (GGA-PBE), the powder X-ray diffraction pattern of LiSn2P5O15 was simulated for CuKα.
No peak broadening, texture or thermal motion is included.

Atomic structure:
Cell lengths 5.5396, 9.8374, 13.5429 Å; angles 90.00, 113.09, 90.00 degrees
Fractional coordinates of all 46 atoms:
Li 0.0000 0.0198 0.0000
Li 0.0000 0.9802 0.5000
Sn 0.8731 0.3044 0.5552
Sn 0.8731 0.6956 0.0552
Sn 0.9431 0.3121 0.8863
Sn 0.9431 0.6879 0.3863
P 0.2341 0.1954 0.3927
P 0.2341 0.8046 0.8927
P 0.3695 0.4602 0.3279
P 0.3695 0.5398 0.8279
P 0.4495 0.4583 0.1228
P 0.4495 0.5417 0.6228
P 0.5771 0.1879 0.0590
P 0.5771 0.8121 0.5590
P 0.9325 0.0002 0.2225
P 0.9325 0.9998 0.7225
O 0.0062 0.0633 0.6373
O 0.0062 0.9367 0.1373
O 0.0408 0.1656 0.4429
O 0.0408 0.8344 0.9429
O 0.1651 0.1085 0.2846
O 0.1651 0.8915 0.7846
O 0.1777 0.3487 0.3468
O 0.1777 0.6513 0.8468
O 0.1917 0.4623 0.0267
O 0.1917 0.5377 0.5267
O 0.2287 0.4057 0.8045
O 0.2287 0.5943 0.3045
O 0.2832 0.1665 0.0037
O 0.2832 0.8335 0.5037
O 0.3917 0.3969 0.2222
O 0.3917 0.6031 0.7222
O 0.5219 0.1765 0.4606
O 0.5219 0.8235 0.9606
O 0.6080 0.4136 0.6543
O 0.6080 0.5864 0.1543
O 0.6351 0.3401 0.1079
O 0.6351 0.6599 0.6079
O 0.6381 0.4559 0.4183
O 0.6381 0.5441 0.9183
O 0.6756 0.0970 0.1667
O 0.6756 0.9030 0.6667
O 0.7469 0.1666 0.9972
O 0.7469 0.8334 0.4972
O 0.8782 0.0870 0.8020
O 0.8782 0.9130 0.3020

Peak list (10 most intense, 2θ from 5° to 70°, in order of rising 2θ)
| d_spacing | intensity |
| --- | --- |
| 9.837 | 44 |
| 5.096 | 33 |
| 4.826 | 40 |
| 3.853 | 95 |
| 3.786 | 100 |
| 3.678 | 34 |
| 3.173 | 44 |
| 2.758 | 54 |
| 2.737 | 39 |
| 2.116 | 33 |

(8)
Starting from a structure optimized by DFT (GGA-PBE), the powder X-ray diffraction pattern of YSiNi11 was simulated for CuKα.
No peak broadening, texture or thermal motion is included.

Atomic structure:
Cell lengths 6.2459, 6.2459, 6.2038 Å; angles 97.51, 97.51, 136.04 degrees
Fractional coordinates of all 13 atoms:
Y 0.0000 0.0000 0.0000
Si 0.5000 0.5000 0.5000
Ni 0.0000 0.0000 0.5000
Ni 0.0000 0.5000 0.0000
Ni 0.0103 0.6564 0.6460
Ni 0.2850 0.5077 0.7729
Ni 0.3436 0.9897 0.3540
Ni 0.4923 0.7150 0.2271
Ni 0.5000 0.0000 0.0000
Ni 0.5077 0.2850 0.7729
Ni 0.6564 0.0103 0.6460
Ni 0.7150 0.4923 0.2271
Ni 0.9897 0.3436 0.3540

Peak list (10 most intense, 2θ from 5° to 70°, in order of rising 2θ)
| d_spacing | intensity |
| --- | --- |
| 2.383 | 14 |
| 2.338 | 37 |
| 2.073 | 24 |
| 2.050 | 100 |
| 2.039 | 14 |
| 2.026 | 15 |
| 2.012 | 26 |
| 1.848 | 15 |
| 1.839 | 16 |
| 1.819 | 24 |

(9)
Starting from a structure optimized by DFT (GGA-PBE), the powder X-ray diffraction pattern of Ni3Cl was simulated for CuKα.
No peak broadening, texture or thermal motion is included.

Atomic structure:
Cell lengths 2.9001, 2.9001, 7.2063 Å; angles 90.00, 90.00, 120.00 degrees
Fractional coordinates of all 4 atoms:
Ni 0.0000 0.0000 0.0000
Ni 0.6667 0.3333 0.2430
Ni 0.6667 0.3333 0.7570
Cl 0.0000 0.0000 0.5000

Peak list (10 most intense, 2θ from 5° to 70°, in order of rising 2θ)
| d_spacing | intensity |
| --- | --- |
| 7.206 | 11 |
| 3.603 | 2 |
| 2.512 | 32 |
| 2.372 | 3 |
| 2.060 | 100 |
| 1.802 | 14 |
| 1.736 | 3 |
| 1.464 | 10 |
| 1.450 | 20 |
| 1.422 | 1 |

(10)
Starting from a structure optimized by DFT (GGA-PBE), the powder X-ray diffraction pattern of Sb2Se was simulated for CuKα.
No peak broadening, texture or thermal motion is included.

Atomic structure:
Cell lengths 4.1960, 6.7135, 7.1910 Å; angles 64.42, 73.36, 71.86 degrees
Fractional coordinates of all 6 atoms:
Sb 0.0000 0.0000 0.0000
Sb 0.1759 0.4765 0.1719
Sb 0.5000 0.5000 0.5000
Sb 0.8241 0.5235 0.8281
Se 0.3620 0.9848 0.2952
Se 0.6380 0.0152 0.7048

Peak list (10 most intense, 2θ from 5° to 70°, in order of rising 2θ)
| d_spacing | intensity |
| --- | --- |
| 3.106 | 100 |
| 3.089 | 99 |
| 2.956 | 88 |
| 2.296 | 38 |
| 2.151 | 67 |
| 2.129 | 36 |
| 2.122 | 34 |
| 2.098 | 34 |
| 1.798 | 19 |
| 1.711 | 37 |

(11)
Starting from a structure optimized by DFT (GGA-PBE), the powder X-ray diffraction pattern of Th5GeBi4 was simulated for CuKα.
No peak broadening, texture or thermal motion is included.

Atomic structure:
Cell lengths 7.8688, 7.8688, 7.8688 Å; angles 99.55, 99.55, 131.93 degrees
Fractional coordinates of all 10 atoms:
Th 0.0000 0.0000 0.0000
Th 0.2240 0.5972 0.8212
Th 0.4028 0.2240 0.6268
Th 0.5972 0.7760 0.3732
Th 0.7760 0.4028 0.1788
Ge 0.5000 0.5000 0.0000
Bi 0.0904 0.3067 0.3970
Bi 0.3067 0.9096 0.2163
Bi 0.6933 0.0904 0.7837
Bi 0.9096 0.6933 0.6030

Peak list (10 most intense, 2θ from 5° to 70°, in order of rising 2θ)
| d_spacing | intensity |
| --- | --- |
| 3.211 | 100 |
| 2.995 | 4 |
| 2.580 | 5 |
| 2.270 | 76 |
| 1.854 | 26 |
| 1.617 | 4 |
| 1.607 | 7 |
| 1.603 | 5 |
| 1.437 | 20 |
| 1.434 | 13 |